(1)
Computed powder diffractogram
Compound: CaH20C4S4N2O12
Radiation: copper Kα
Structure: a DFT-relaxed cell (GGA-PBE, the Materials Project)

The 12 most intense peaks (2θ = 10–90°), by intensity:
- 2θ 21.9, I = 100
- 2θ 12.8, I = 69
- 2θ 18.4, I = 60
- 2θ 29.1, I = 37
- 2θ 14.6, I = 28
- 2θ 20.3, I = 25
- 2θ 24.3, I = 16
- 2θ 26.5, I = 15
- 2θ 32.3, I = 14
- 2θ 23.0, I = 13
- 2θ 25.7, I = 11
- 2θ 27.9, I = 10

Lattice parameters (Å, degrees): 7.7202 8.2718 8.6047 71.12 76.76 64.40
Sites, in units of the cell vectors:
Ca 0.0000 0.0000 0.0000
H 0.0885 0.6005 0.1939
H 0.1085 0.0771 0.5243
H 0.1614 0.6898 0.2877
H 0.2966 0.1649 0.4664
H 0.2997 0.1215 0.7888
H 0.3077 0.7043 0.7710
H 0.3351 0.9505 0.4217
H 0.3558 0.4689 0.8948
H 0.4367 0.9167 0.8691
H 0.4908 0.4861 0.2932
H 0.5092 0.5139 0.7068
H 0.5633 0.0833 0.1309
H 0.6442 0.5311 0.1052
H 0.6649 0.0495 0.5783
H 0.6923 0.2957 0.2290
H 0.7003 0.8785 0.2112
H 0.7034 0.8351 0.5336
H 0.8386 0.3102 0.7123
H 0.8915 0.9229 0.4757
H 0.9115 0.3995 0.8061
C 0.2307 0.0883 0.4336
C 0.3624 0.5584 0.7698
C 0.6376 0.4416 0.2302
C 0.7693 0.9117 0.5664
S 0.1445 0.2153 0.2379
S 0.2167 0.5348 0.6533
S 0.7833 0.4652 0.3467
S 0.8555 0.7847 0.7621
N 0.0026 0.5796 0.7514
N 0.9974 0.4204 0.2486
O 0.0496 0.1133 0.2000
O 0.1323 0.7028 0.1773
O 0.2188 0.6643 0.4902
O 0.2914 0.3397 0.6529
O 0.3007 0.9978 0.8520
O 0.3084 0.2357 0.1214
O 0.6916 0.7643 0.8786
O 0.6993 0.0022 0.1480
O 0.7086 0.6603 0.3471
O 0.7812 0.3357 0.5098
O 0.8677 0.2972 0.8227
O 0.9504 0.8867 0.8000

(2)
Computed powder diffractogram
Compound: CaH8C6S2N2O8
Radiation: copper Kα
Structure: a DFT-relaxed cell (GGA-PBE, the Materials Project)

The 12 most intense peaks (2θ = 10–90°), by intensity:
- 2θ 24.3, I = 100
- 2θ 27.6, I = 42
- 2θ 13.4, I = 35
- 2θ 18.3, I = 29
- 2θ 36.3, I = 28
- 2θ 26.4, I = 25
- 2θ 27.8, I = 22
- 2θ 13.9, I = 16
- 2θ 27.4, I = 13
- 2θ 37.0, I = 13
- 2θ 36.5, I = 12
- 2θ 29.6, I = 11

Lattice parameters (Å, degrees): 7.3788 8.1756 11.7793 92.15 101.88 114.82
Sites, in units of the cell vectors:
Ca 0.0758 0.2196 0.4269
Ca 0.9242 0.7804 0.5731
H 0.1710 0.5949 0.6996
H 0.2622 0.6193 0.5220
H 0.2667 0.9523 0.4391
H 0.2777 0.6387 0.3911
H 0.2976 0.1858 0.2485
H 0.3304 0.8047 0.7235
H 0.3696 0.0522 0.5679
H 0.4293 0.3884 0.2979
H 0.5707 0.6116 0.7021
H 0.6304 0.9478 0.4321
H 0.6696 0.1953 0.2765
H 0.7024 0.8142 0.7515
H 0.7223 0.3613 0.6089
H 0.7333 0.0477 0.5609
H 0.7378 0.3807 0.4780
H 0.8290 0.4051 0.3004
C 0.0129 0.5422 0.9492
C 0.1754 0.2213 0.7170
C 0.2157 0.7271 0.1357
C 0.3046 0.3333 0.8329
C 0.3645 0.8826 0.2281
C 0.4728 0.4348 0.0384
C 0.5272 0.5652 0.9616
C 0.6355 0.1174 0.7719
C 0.6954 0.6667 0.1671
C 0.7843 0.2729 0.8643
C 0.8246 0.7787 0.2830
C 0.9871 0.4578 0.0508
S 0.1920 0.7659 0.9893
S 0.2932 0.2286 0.9591
S 0.7068 0.7714 0.0409
S 0.8081 0.2341 0.0107
N 0.1002 0.5615 0.1552
N 0.4326 0.5083 0.8464
N 0.5674 0.4917 0.1536
N 0.8998 0.4385 0.8448
O 0.0771 0.0515 0.7180
O 0.1782 0.3075 0.6296
O 0.2014 0.7103 0.6684
O 0.2368 0.0032 0.5062
O 0.2451 0.5499 0.4476
O 0.3116 0.2795 0.3079
O 0.3895 0.8535 0.3347
O 0.4544 0.0328 0.1910
O 0.5456 0.9672 0.8090
O 0.6105 0.1465 0.6653
O 0.6884 0.7205 0.6921
O 0.7549 0.4501 0.5524
O 0.7632 0.9968 0.4938
O 0.7986 0.2897 0.3316
O 0.8218 0.6925 0.3704
O 0.9229 0.9485 0.2820

(3)
Computed powder diffractogram
Compound: Na2CaH4C2O8
Radiation: copper Kα
Structure: a DFT-relaxed cell (GGA-PBE, the Materials Project)

The 12 most intense peaks (2θ = 10–90°), by intensity:
- 2θ 35.6, I = 100
- 2θ 33.5, I = 76
- 2θ 34.6, I = 72
- 2θ 44.5, I = 65
- 2θ 17.1, I = 58
- 2θ 51.1, I = 47
- 2θ 42.0, I = 46
- 2θ 28.0, I = 45
- 2θ 30.7, I = 43
- 2θ 32.6, I = 41
- 2θ 17.8, I = 40
- 2θ 42.5, I = 30

Lattice parameters (Å, degrees): 10.5547 6.4694 11.6131 64.23 33.50 82.26
Sites, in units of the cell vectors:
Na 0.3228 0.6772 0.4529
Na 0.6772 0.3228 0.5471
Na 0.7029 0.7971 0.5728
Na 0.7971 0.7029 0.9272
Ca 0.2411 0.2411 0.2589
Ca 0.9911 0.9911 0.0089
H 0.1601 0.7412 0.3136
H 0.4071 0.6426 0.6374
H 0.4649 0.9364 0.5088
H 0.6126 0.9371 0.8429
H 0.6426 0.4071 0.3129
H 0.7412 0.1601 0.7851
H 0.9364 0.4649 0.0899
H 0.9371 0.6126 0.6074
C 0.1993 0.3045 0.0287
C 0.2213 0.7824 0.0507
C 0.3045 0.1993 0.4676
C 0.7824 0.2213 0.9455
O 0.0020 0.2248 0.2656
O 0.0786 0.7822 0.4326
O 0.1746 0.3430 0.9283
O 0.2248 0.0020 0.5076
O 0.3217 0.6959 0.0754
O 0.3430 0.1746 0.5541
O 0.3498 0.4220 0.3376
O 0.3594 0.9124 0.8280
O 0.4220 0.3498 0.8906
O 0.5435 0.8174 0.4678
O 0.6959 0.3217 0.9070
O 0.7424 0.9844 0.0252
O 0.7822 0.0786 0.7065
O 0.8174 0.5435 0.1714
O 0.9124 0.3594 0.9002
O 0.9844 0.7424 0.2480